1.
Simulated XRD peak list
Compound: NdBr3O6
Radiation: Cu Ka
Structure: a cell relaxed with PBE

Structure:
```
data_NdBr3O6
_space_group_name_H-M_alt 'P 1 2/c 1'
_space_group_IT_number 13
_cell_length_a 5.917
_cell_length_b 6.462
_cell_length_c 11.533
_cell_angle_alpha 90.00
_cell_angle_beta 107.46
_cell_angle_gamma 90.00
loop_
_space_group_symop_operation_xyz
'x,y,z'
'-x,-y,-z'
'-x,y,-z+1/2'
'x,-y,z+1/2'
loop_
_atom_site_label
_atom_site_type_symbol
_atom_site_fract_x
_atom_site_fract_y
_atom_site_fract_z
_atom_site_occupancy
Nd1 Nd 0.000 0.178 0.250 1
Br1 Br 0.194 0.296 0.952 1
Br2 Br 0.500 0.412 0.750 1
O1 O 0.085 0.208 0.067 1
O2 O 0.243 0.089 0.863 1
O3 O 0.315 0.430 0.306 1
```

Principal peaks in the range 10 to 80 degrees two-theta, by angle:
2θ/deg, d [Å], Rel. int., h k l
15.70, 5.645, 24, 1 0 0
20.90, 4.251, 26, 1 1 0
23.38, 3.805, 18, 1 1 -2
24.09, 3.695, 100, 1 1 1
27.98, 3.189, 24, 0 1 3
28.32, 3.151, 48, 1 1 -3
28.80, 3.100, 17, 0 2 1
29.31, 3.047, 16, 1 1 2
30.97, 2.888, 25, 2 0 -2
31.92, 2.804, 19, 1 2 0
37.86, 2.376, 19, 2 1 1
41.40, 2.181, 14, 2 2 -1

***

2.
Simulated XRD peak list
Compound: Ba2SrI6
Radiation: Cu Ka
Structure: a cell relaxed with PBE

Structure:
```
data_Ba2SrI6
_space_group_name_H-M_alt 'P -6 2 m'
_space_group_IT_number 189
_space_group_name_Hall 'P -6 -2'
_cell_length_a 9.2300
_cell_length_b 9.2300
_cell_length_c 5.0795
_cell_angle_alpha 90.00
_cell_angle_beta 90.00
_cell_angle_gamma 120.00
loop_
_atom_site_label
_atom_site_type_symbol
_atom_site_fract_x
_atom_site_fract_y
_atom_site_fract_z
_atom_site_occupancy
Ba1 Ba 0.3333 0.6667 0.0000 1
Sr1 Sr 0.0000 0.0000 0.5000 1
I1 I 0.0000 0.2509 0.0000 1
I2 I 0.0000 0.5972 0.5000 1
```

Principal peaks in the range 10 to 80 degrees two-theta, by angle:
2θ/deg, d [Å], Rel. int., h k l
26.09, 3.416, 100, 1 1 1
28.42, 3.141, 81, 2 0 1
29.57, 3.021, 50, 2 1 0
33.64, 2.664, 38, 3 0 0
34.54, 2.597, 33, 2 1 1
35.34, 2.540, 29, 0 0 2
44.59, 2.032, 12, 3 1 1
46.72, 1.944, 28, 2 1 2
49.59, 1.838, 25, 3 0 2
53.10, 1.725, 33, 3 2 1
55.72, 1.650, 11, 4 1 1
76.59, 1.244, 11, 3 2 3

***

3.
Simulated XRD peak list
Compound: Rb2YHgCl6
Radiation: Cu Ka
Structure: a cell relaxed with PBE

Structure:
```
data_Rb2YHgCl6
_space_group_name_H-M_alt 'F m -3 m'
_space_group_IT_number 225
_space_group_name_Hall '-F 4 2 3'
_cell_length_a 11.162
_cell_length_b 11.162
_cell_length_c 11.162
_cell_angle_alpha 90.00
_cell_angle_beta 90.00
_cell_angle_gamma 90.00
loop_
_atom_site_label
_atom_site_type_symbol
_atom_site_fract_x
_atom_site_fract_y
_atom_site_fract_z
_atom_site_occupancy
Rb1 Rb 0.250 0.250 0.250 1
Y1 Y 0.000 0.000 0.000 1
Hg1 Hg 0.000 0.000 0.500 1
Cl1 Cl 0.000 0.000 0.236 1
```

Principal peaks in the range 10 to 80 degrees two-theta, by angle:
2θ/deg, d [Å], Rel. int., h k l
15.88, 5.581, 28, 2 0 0
22.53, 3.946, 100, 2 2 0
26.48, 3.366, 11, 3 1 1
32.07, 2.791, 62, 4 0 0
35.98, 2.496, 14, 4 2 0
39.55, 2.278, 47, 4 2 2
45.99, 1.973, 43, 4 4 0
51.80, 1.765, 23, 6 2 0
57.17, 1.611, 14, 4 4 4
62.24, 1.492, 26, 6 4 2
71.75, 1.315, 13, 6 6 0
76.30, 1.248, 18, 8 4 0

***

4.
Simulated XRD peak list
Compound: LaRh
Radiation: Cu Ka
Structure: a cell relaxed with PBE

Structure:
```
data_LaRh
_space_group_name_H-M_alt 'C m c m'
_space_group_IT_number 63
_space_group_name_Hall '-C 2c 2'
_cell_length_a 3.965
_cell_length_b 11.319
_cell_length_c 4.274
_cell_angle_alpha 90.00
_cell_angle_beta 90.00
_cell_angle_gamma 90.00
loop_
_atom_site_label
_atom_site_type_symbol
_atom_site_fract_x
_atom_site_fract_y
_atom_site_fract_z
_atom_site_occupancy
La1 La 0.000 0.139 0.250 1
Rh1 Rh 0.000 0.412 0.250 1
```

Principal peaks in the range 10 to 80 degrees two-theta, by angle:
2θ/deg, d [Å], Rel. int., h k l
31.62, 2.830, 36, 0 4 0
31.78, 2.815, 100, 1 1 1
32.76, 2.733, 21, 1 3 0
38.14, 2.359, 21, 0 4 1
39.12, 2.303, 66, 1 3 1
42.30, 2.137, 26, 0 0 2
45.77, 1.983, 21, 2 0 0
53.76, 1.705, 16, 0 4 2
56.69, 1.624, 14, 2 4 0
61.98, 1.497, 13, 1 7 0
64.07, 1.453, 15, 2 0 2
77.91, 1.226, 13, 1 7 2